# 1
For Ac8Co2Au, the PBE geometry in Alexandria gives the theoretical powder diffractogram in this record (Cu Kα, 1.54184 Å).
Neutral-atom scattering factors, no anomalous dispersion.

Largest 12 diffraction maxima, by angle, 5 to 70 degrees two-theta:
d [Å], Position (°2θ), I_rel
6.591, 13.43, 41
5.317, 16.67, 24
3.779, 23.54, 68
3.691, 24.11, 41
3.547, 25.11, 57
3.200, 27.88, 35
3.115, 28.66, 24
3.090, 28.89, 100
2.791, 32.07, 52
2.396, 37.54, 42
2.387, 37.68, 34
1.923, 47.28, 30

Structure:
```
11
Lattice="6.402 -3.845 0.000 6.402 3.845 0.000 -0.223 0.000 9.191" Properties=species:S:1:pos:R:3 pbc="T T T"
Ac 1.036 0.000 1.609
Ac 4.417 1.900 3.074
Ac 4.243 0.000 8.685
Ac 8.164 1.900 6.117
Ac 4.417 -1.900 3.074
Ac 8.337 0.000 0.506
Ac 8.164 -1.900 6.117
Ac 11.544 0.000 7.581
Co 1.553 0.000 8.118
Co 11.027 0.000 1.073
Au -0.111 0.000 4.595
```

---

# 2
For Ce5H2Ir2, the PBE geometry in Alexandria gives the theoretical powder diffractogram in this record (Cu Kα, 1.54184 Å).
Neutral-atom scattering factors, no anomalous dispersion.

Largest 12 diffraction maxima, by angle, 5 to 70 degrees two-theta:
d [Å], Position (°2θ), I_rel
4.798, 18.49, 85
4.204, 21.13, 59
3.074, 29.05, 97
2.909, 30.74, 62
2.763, 32.40, 66
2.754, 32.51, 100
2.631, 34.08, 61
2.601, 34.49, 61
2.487, 36.11, 54
2.313, 38.93, 74
2.255, 39.99, 63
2.165, 41.73, 56

Structure:
```
18
Lattice="-8.725 3.239 3.571 8.725 -3.239 3.571 8.725 3.239 -3.571" Properties=species:S:1:pos:R:3 pbc="T T T"
Ce 4.362 2.201 -1.639
Ce 1.362 1.336 0.000
Ce 7.363 1.336 0.000
Ce 4.362 1.038 1.932
Ce 11.220 2.027 0.867
Ce 6.230 -1.212 4.438
Ce 1.362 1.903 3.571
Ce 7.363 1.903 3.571
Ce 2.495 4.451 0.867
Ce -2.495 1.212 4.438
H 6.550 3.136 -1.409
H 10.900 -0.103 2.162
H 2.175 0.103 2.162
H 6.550 0.103 2.162
Ir 0.000 3.239 1.614
Ir 0.000 0.000 5.185
Ir -4.362 2.832 3.014
Ir 4.362 3.646 3.014
```

---

# 3
For Hf9CoW4, the PBE geometry in Alexandria gives the theoretical powder diffractogram in this record (Cu Kα, 1.54184 Å).
Neutral-atom scattering factors, no anomalous dispersion.

Largest 12 diffraction maxima, by angle, 5 to 70 degrees two-theta:
d [Å], Position (°2θ), I_rel
7.524, 11.76, 16
2.844, 31.46, 14
2.644, 33.91, 27
2.508, 35.81, 18
2.405, 37.40, 79
2.361, 38.12, 100
2.258, 39.92, 47
2.172, 41.58, 20
1.473, 63.13, 27
1.448, 64.34, 20
1.418, 65.87, 24
1.404, 66.62, 29

Structure:
```
28
Lattice="8.688 0.000 0.000 -4.344 7.524 0.000 0.000 0.000 8.471" Properties=species:S:1:pos:R:3 pbc="T T T"
Hf -1.621 4.080 2.118
Hf 0.000 3.027 4.740
Hf 0.000 3.027 7.967
Hf -1.723 6.010 4.740
Hf -1.723 6.010 7.967
Hf 2.621 1.513 0.504
Hf 2.621 1.513 3.731
Hf 1.621 4.080 2.118
Hf 0.000 6.887 2.118
Hf 4.344 0.636 6.353
Hf 2.723 3.444 6.353
Hf 1.723 6.010 4.740
Hf 1.723 6.010 7.967
Hf 6.066 1.513 0.504
Hf 6.066 1.513 3.731
Hf 4.344 4.497 0.504
Hf 4.344 4.497 3.731
Hf 5.965 3.444 6.353
Co 0.000 5.016 6.353
Co 4.344 2.508 2.118
W 0.000 0.000 0.000
W 0.000 0.000 4.235
W 0.000 1.690 2.118
W -2.880 6.678 2.118
W 1.464 0.845 6.353
W 2.880 6.678 2.118
W 7.224 0.845 6.353
W 4.344 5.833 6.353
```